# Tb5Se5S2
Theoretical X-ray diffraction stick pattern, CuKα. Input: the PBE geometry in Alexandria.

```
data_Tb5Se5S2
_chemical_formula_sum 'Tb10 Se10 S4'
_symmetry_space_group_name_H-M 'C 1 2/m 1'
_symmetry_Int_Tables_number 12
_cell_length_a 13.332
_cell_length_b 3.969
_cell_length_c 11.988
_cell_angle_alpha 90.00
_cell_angle_beta 105.39
_cell_angle_gamma 90.00
loop_
_symmetry_equiv_pos_as_xyz
'x,y,z'
'-x,-y,-z'
'-x,y,-z'
'x,-y,z'
'x+1/2,y+1/2,z'
'-x+1/2,-y+1/2,-z'
'-x+1/2,y+1/2,-z'
'x+1/2,-y+1/2,z'
loop_
_atom_site_label
_atom_site_fract_x
_atom_site_fract_y
_atom_site_fract_z
_atom_site_occupancy
Tb1 0.000 0.000 0.000 1
Tb2 0.110 0.000 0.414 1
Tb3 0.190 0.500 0.808 1
Se1 0.000 0.500 0.500 1
Se2 0.162 0.500 0.052 1
Se3 0.244 0.500 0.352 1
S1 0.041 0.000 0.788 1
```

Principal peaks in the range 10 to 90 degrees two-theta, by angle:
hkl	2theta	Rel. int.
2 0 2	23.3	84
2 0 -3	23.6	57
3 1 -1	30.3	100
3 1 0	30.7	31
3 1 -2	31.8	64
3 1 1	33.1	36
1 1 -4	37.6	50
1 1 4	40.7	28
6 0 -4	45.5	28
0 2 0	45.7	41